Entry 1:
SrLiCdAg2: simulated powder XRD pattern (copper Kα), based on a cell relaxed with PBE.
Lines closer than 0.1° are merged.

Crystal structure
```
SrLiCdAg2
1.0
4.3270 0.0000 0.0000
0.0000 4.3270 0.0000
0.0000 0.0000 13.0722
Sr Li Cd Ag
2 2 2 4
Cartesian
0.0000 0.0000 0.0000
2.1635 2.1635 6.5361
0.0000 2.1635 3.2680
2.1635 0.0000 9.8041
0.0000 2.1635 9.8041
2.1635 0.0000 3.2680
0.0000 0.0000 5.1316
0.0000 0.0000 7.9406
2.1635 2.1635 1.4045
2.1635 2.1635 11.6677
```

Top 12 peaks for 2θ = 5–70°, by angle:
2theta	d [Å]	intensity
21.6	4.108	62
29.1	3.070	71
29.2	3.060	28
32.3	2.771	76
40.3	2.236	100
41.7	2.164	53
47.5	1.914	15
51.7	1.769	28
56.3	1.634	7
59.4	1.555	40
60.5	1.530	17
68.6	1.369	10

***

Entry 2:
LiYCd5Ag2: simulated powder XRD pattern (copper Kα), based on a cell relaxed with PBE.
Lines closer than 0.1° are merged.

Crystal structure
```
LiYCd5Ag2
1.0
4.4390 0.0000 0.0000
0.0000 4.4390 0.0000
0.0000 0.0000 11.0880
Li Y Cd Ag
1 1 5 2
Cartesian
0.0000 0.0000 0.0000
0.0000 0.0000 5.5440
0.0000 2.2195 3.1252
0.0000 2.2195 7.9629
2.2195 0.0000 3.1252
2.2195 0.0000 7.9629
2.2195 2.2195 5.5440
2.2195 2.2195 1.3254
2.2195 2.2195 9.7627
```

Top 12 peaks for 2θ = 5–70°, by angle:
2theta	d [Å]	intensity
8.0	11.088	25
16.0	5.544	13
20.0	4.439	24
21.6	4.121	13
32.8	2.731	100
37.6	2.393	59
40.7	2.219	71
43.6	2.078	12
45.7	1.985	10
58.9	1.569	41
66.1	1.414	8
69.0	1.361	21

***

Entry 3:
LiZnCd2Ag: simulated powder XRD pattern (copper Kα), based on a cell relaxed with PBE.
Lines closer than 0.1° are merged.

Crystal structure
```
LiZnCd2Ag
1.0
1.4671 -7.2908 0.0000
1.4671 7.2908 0.0000
0.0000 0.0000 9.1386
Li Zn Cd Ag
2 2 4 2
Cartesian
1.4671 5.1464 6.8540
1.4671 -5.1464 2.2847
0.0000 0.0000 0.0000
0.0000 0.0000 4.5693
1.4671 4.6062 0.8324
1.4671 4.6062 3.7369
1.4671 -4.6062 5.4017
1.4671 -4.6062 8.3062
1.4671 0.3854 6.8540
1.4671 -0.3854 2.2847
```

Top 12 peaks for 2θ = 5–70°, by angle:
2theta	d [Å]	intensity
15.5	5.699	89
23.0	3.872	23
24.4	3.645	19
31.8	2.811	19
35.7	2.512	47
36.9	2.433	100
38.3	2.349	19
38.5	2.338	54
41.4	2.180	38
43.3	2.091	46
48.3	1.884	33
62.6	1.484	29

***

Entry 4:
LiZnCdAg2: simulated powder XRD pattern (copper Kα), based on a cell relaxed with PBE.
Lines closer than 0.1° are merged.

Crystal structure
```
LiZnCdAg2
1.0
5.1375 0.0000 0.0000
0.0000 4.6931 0.0000
-2.5296 0.0000 7.1652
Li Zn Cd Ag
2 2 2 4
Cartesian
0.4748 1.1733 2.1157
2.1332 3.5198 5.0495
-2.0811 1.1733 6.5003
4.6891 3.5198 0.6649
0.4531 1.1733 5.0185
2.1549 3.5198 2.1468
-0.3965 3.5198 3.4813
-0.5783 3.5198 6.4377
3.1863 1.1733 0.7276
3.0044 1.1733 3.6840
```

Top 12 peaks for 2θ = 5–70°, by angle:
2theta	d [Å]	intensity
18.4	4.829	35
22.6	3.926	24
26.4	3.371	34
31.4	2.848	22
35.8	2.509	32
36.0	2.497	19
38.4	2.347	69
40.0	2.253	100
40.8	2.212	71
40.9	2.204	86
53.5	1.714	20
65.1	1.433	15

***

Entry 5:
Mg2CdAg9: simulated powder XRD pattern (copper Kα), based on a cell relaxed with PBE.
Lines closer than 0.1° are merged.

Crystal structure
```
Mg2CdAg9
1.0
4.1585 0.0000 0.0000
0.0000 4.1585 0.0000
0.0000 0.0000 12.5831
Mg Cd Ag
2 1 9
Cartesian
0.0000 0.0000 2.0824
0.0000 0.0000 10.5008
0.0000 0.0000 6.2916
0.0000 2.0792 0.0000
0.0000 2.0792 4.1490
0.0000 2.0792 8.4341
2.0792 0.0000 0.0000
2.0792 0.0000 4.1490
2.0792 0.0000 8.4341
2.0792 2.0792 2.0761
2.0792 2.0792 6.2916
2.0792 2.0792 10.5071
```

Top 12 peaks for 2θ = 5–70°, by angle:
2theta	d [Å]	intensity
7.0	12.583	5
21.2	4.194	2
21.4	4.158	4
22.5	3.948	2
30.3	2.953	4
30.4	2.940	2
37.3	2.408	100
43.1	2.097	16
43.5	2.079	32
48.9	1.861	2
62.9	1.477	20
63.2	1.470	10

***

Entry 6:
Mg5Cd2Ag5: simulated powder XRD pattern (copper Kα), based on a cell relaxed with PBE.
Lines closer than 0.1° are merged.

Crystal structure
```
Mg5Cd2Ag5
1.0
5.0022 0.0000 0.0000
2.4612 4.6923 0.0000
0.3780 1.6415 9.8283
Mg Cd Ag
5 2 5
Cartesian
0.0000 0.0000 0.0000
1.4361 1.6724 4.9200
3.5485 4.5731 7.4105
4.2928 1.7607 2.4178
6.4053 4.6614 4.9083
4.3032 4.7711 2.4428
3.5381 1.5627 7.3855
1.7946 3.2138 2.4439
2.4910 1.5826 0.0270
3.9207 3.1669 4.9142
5.3504 4.7512 9.8013
6.0468 3.1200 7.3844
```

Top 12 peaks for 2θ = 5–70°, by angle:
2theta	d [Å]	intensity
9.0	9.828	13
19.2	4.628	9
21.3	4.172	9
36.6	2.456	100
36.8	2.445	47
37.1	2.426	50
40.6	2.220	73
46.6	1.950	24
58.6	1.576	11
59.1	1.564	12
63.1	1.474	12
63.7	1.461	10

***

Entry 7:
Mg3Cd3Ag2: simulated powder XRD pattern (copper Kα), based on a cell relaxed with PBE.
Lines closer than 0.1° are merged.

Crystal structure
```
Mg3Cd3Ag2
1.0
7.4858 0.0000 0.0000
-3.7429 6.4829 0.0000
0.0000 0.0000 3.4017
Mg Cd Ag
3 3 2
Cartesian
-2.2108 3.8292 0.0000
1.5322 2.6538 0.0000
4.4215 0.0000 0.0000
-0.8681 1.5037 1.7009
1.7363 0.0000 1.7009
2.8748 4.9793 1.7009
0.0000 4.3220 1.7009
3.7429 2.1610 1.7009
```

Top 12 peaks for 2θ = 5–70°, by angle:
2theta	d [Å]	intensity
23.8	3.743	36
26.2	3.402	67
27.5	3.241	22
35.7	2.517	69
36.7	2.450	100
38.4	2.347	43
41.8	2.161	21
45.6	1.988	75
53.9	1.701	15
66.0	1.415	17
67.0	1.397	32
68.9	1.363	18

***

Entry 8:
MgCdAg2: simulated powder XRD pattern (copper Kα), based on a cell relaxed with PBE.
Lines closer than 0.1° are merged.

Crystal structure
```
MgCdAg2
1.0
10.2798 0.0000 0.0000
0.0000 3.2646 0.0000
-1.6588 0.0000 4.5351
Mg Cd Ag
2 2 4
Cartesian
0.0000 0.0000 0.0000
5.1399 1.6323 0.0000
1.3074 0.0000 3.0754
6.4473 1.6323 3.0754
2.2298 1.6323 0.8344
4.1990 0.0000 2.2308
7.3697 0.0000 0.8344
9.3389 1.6323 2.2308
```

Top 12 peaks for 2θ = 5–70°, by angle:
2theta	d [Å]	intensity
18.4	4.827	18
19.6	4.535	16
21.8	4.077	14
33.2	2.697	13
36.9	2.433	100
37.3	2.414	50
37.6	2.393	42
39.5	2.283	82
50.0	1.825	18
56.4	1.632	14
65.3	1.430	17
69.5	1.352	15

***

Entry 9:
Mg2Cd2Ag5: simulated powder XRD pattern (copper Kα), based on a cell relaxed with PBE.
Lines closer than 0.1° are merged.

Crystal structure
```
Mg2Cd2Ag5
1.0
3.1738 0.0000 0.0000
-1.5599 5.4364 0.0000
-1.5729 -1.1114 10.2063
Mg Cd Ag
2 2 5
Cartesian
0.0051 0.1943 3.8312
0.0359 4.1307 6.3751
-1.5546 2.6671 8.9285
1.5956 1.6579 1.2778
-1.5664 2.1625 5.1031
-1.5689 -0.2704 9.0806
0.0221 3.3334 3.1323
0.0189 0.9916 7.0740
1.6099 4.5955 1.1257
```

Top 12 peaks for 2θ = 5–70°, by angle:
2theta	d [Å]	intensity
8.7	10.206	54
19.4	4.576	69
36.3	2.477	100
37.3	2.410	96
37.4	2.402	62
37.6	2.391	41
37.8	2.380	41
39.1	2.304	26
39.4	2.288	86
40.3	2.237	33
44.4	2.041	43
58.1	1.587	30

***

Entry 10:
Mg3Cd3Ag5: simulated powder XRD pattern (copper Kα), based on a cell relaxed with PBE.
Lines closer than 0.1° are merged.

Crystal structure
```
Mg3Cd3Ag5
1.0
9.5039 0.0000 0.0000
-4.7519 8.2306 0.0000
0.0000 0.0000 3.0712
Mg Cd Ag
3 3 5
Cartesian
-2.7198 4.7108 0.0000
2.0321 3.5198 0.0000
5.4396 0.0000 0.0000
-3.9160 6.7827 1.5356
0.8359 1.4479 1.5356
7.8320 0.0000 1.5356
-1.6195 2.8050 1.5356
0.0000 5.4871 1.5356
3.2390 0.0000 1.5356
3.1324 5.4256 1.5356
4.7519 2.7435 1.5356
```

Top 12 peaks for 2θ = 5–70°, by angle:
2theta	d [Å]	intensity
10.7	8.231	24
18.7	4.752	28
28.7	3.111	94
29.1	3.071	100
32.6	2.744	69
34.8	2.579	34
37.9	2.376	70
39.5	2.283	46
41.3	2.186	83
44.3	2.046	50
48.4	1.879	77
68.4	1.372	26

***

Entry 11:
Mg2CdAg8: simulated powder XRD pattern (copper Kα), based on a cell relaxed with PBE.
Lines closer than 0.1° are merged.

Crystal structure
```
Mg2CdAg8
1.0
6.8142 -3.5803 0.0000
6.8142 3.5803 0.0000
-1.4917 0.0000 4.2643
Mg Cd Ag
2 1 8
Cartesian
1.7998 0.0000 0.6290
10.3369 0.0000 3.6354
6.0684 -0.6445 2.1322
4.1886 1.5147 1.4667
6.8142 1.5573 0.0000
3.4900 -0.5140 3.6191
7.9481 1.5147 2.7976
3.6722 -2.0728 1.2910
8.6467 -0.5140 0.6453
8.4645 -2.0728 2.9733
6.0684 -3.5744 2.1322
```

Top 12 peaks for 2θ = 5–70°, by angle:
2theta	d [Å]	intensity
14.2	6.257	7
23.3	3.821	8
28.5	3.128	7
36.5	2.460	25
38.3	2.348	100
39.9	2.259	25
42.1	2.144	14
51.0	1.790	7
56.5	1.627	6
59.4	1.555	10
63.9	1.456	7
66.7	1.403	7

***

Entry 12:
MgCdAg2: simulated powder XRD pattern (copper Kα), based on a cell relaxed with PBE.
Lines closer than 0.1° are merged.

Crystal structure
```
MgCdAg2
1.0
9.6011 0.0000 0.0000
0.0000 2.9734 0.0000
-0.8071 0.0000 5.3553
Mg Cd Ag
2 2 4
Cartesian
0.0000 0.0000 0.0000
4.8005 1.4867 0.0000
-0.4036 1.4867 2.6777
4.3970 0.0000 2.6777
2.1761 1.4867 1.2969
1.8174 0.0000 4.0585
6.9766 0.0000 1.2969
6.6179 1.4867 4.0585
```

Top 12 peaks for 2θ = 5–70°, by angle:
2theta	d [Å]	intensity
16.6	5.355	16
18.7	4.747	14
23.1	3.848	10
26.9	3.315	10
36.0	2.497	52
36.5	2.462	100
37.9	2.373	45
41.1	2.196	35
43.4	2.084	60
60.0	1.542	23
62.6	1.483	20
63.7	1.461	10

***

Entry 13:
Mg5Cd2Ag4: simulated powder XRD pattern (copper Kα), based on a cell relaxed with PBE.
Lines closer than 0.1° are merged.

Crystal structure
```
Mg5Cd2Ag4
1.0
5.4596 0.0000 0.0000
0.8329 5.6613 0.0000
1.7667 0.6132 7.5662
Mg Cd Ag
5 2 4
Cartesian
0.0000 0.0000 0.0000
2.6018 3.9683 3.7612
4.3395 2.2075 6.9718
3.7196 4.0671 0.5944
5.4574 2.3062 3.8049
2.7778 1.0766 4.7192
5.2813 5.1979 2.8470
1.0690 3.1603 1.2617
1.7766 0.5759 2.0705
6.2825 5.6987 5.4957
6.9901 3.1142 6.3045
```

Top 12 peaks for 2θ = 5–70°, by angle:
2theta	d [Å]	intensity
16.8	5.276	21
20.4	4.358	39
21.6	4.118	57
22.5	3.949	20
25.9	3.443	29
37.9	2.373	100
38.0	2.368	49
38.2	2.354	70
38.5	2.340	37
39.5	2.283	27
41.6	2.172	42
42.9	2.107	25

***

Entry 14:
MgCd2Ag3: simulated powder XRD pattern (copper Kα), based on a cell relaxed with PBE.
Lines closer than 0.1° are merged.

Crystal structure
```
MgCd2Ag3
1.0
3.4508 0.0000 0.0000
0.0000 3.4508 0.0000
0.0000 0.0000 9.6046
Mg Cd Ag
1 2 3
Cartesian
0.0000 0.0000 0.0000
0.0000 0.0000 3.1735
0.0000 0.0000 6.4310
1.7254 1.7254 1.5257
1.7254 1.7254 4.8023
1.7254 1.7254 8.0788
```

Top 12 peaks for 2θ = 5–70°, by angle:
2theta	d [Å]	intensity
9.2	9.605	11
18.5	4.802	3
25.8	3.451	3
27.5	3.248	6
31.9	2.802	6
36.8	2.440	57
38.0	2.365	2
38.4	2.347	100
53.1	1.725	19
57.6	1.601	7
61.4	1.509	2
67.4	1.390	35